Structure and simulated powder X-ray diffraction pattern of RbZrAu3S4 (a DFT-relaxed cell (GGA-PBE, OQMD); Cu Kα (λ = 1.5418 Å)).
Neutral-atom scattering factors, no anomalous dispersion.

abc: 6.1381 7.6932 10.2764
angles: 90.00 106.12 90.00
Element x y z (fractional)
Rb1 0.2179 0.2500 0.3765
Rb2 0.7821 0.7500 0.6235
Zr1 0.1313 0.2500 0.8011
Zr2 0.8687 0.7500 0.1989
Au1 0.2918 0.5589 0.0153
Au2 0.2918 0.9411 0.0153
Au3 0.4141 0.7500 0.2711
Au4 0.5859 0.2500 0.7289
Au5 0.7083 0.0589 0.9847
Au6 0.7083 0.4411 0.9847
S1 0.0639 0.2500 0.0318
S2 0.1673 0.7500 0.4120
S3 0.3499 0.5080 0.7718
S4 0.3499 0.9920 0.7718
S5 0.6501 0.0080 0.2282
S6 0.6501 0.4920 0.2282
S7 0.8327 0.2500 0.5880
S8 0.9361 0.7500 0.9682

Top 12 peaks for 2θ from 5° to 70°, by intensity:
9.872 Å, 2θ 8.96, intensity 100.0
6.068 Å, 2θ 14.60, intensity 36.1
3.032 Å, 2θ 29.46, intensity 28.8
3.584 Å, 2θ 24.84, intensity 22.0
1.924 Å, 2θ 47.25, intensity 19.1
4.644 Å, 2θ 19.11, intensity 18.5
2.143 Å, 2θ 42.17, intensity 16.9
2.172 Å, 2θ 41.58, intensity 16.3
3.070 Å, 2θ 29.09, intensity 14.1
3.291 Å, 2θ 27.10, intensity 14.0
2.022 Å, 2θ 44.81, intensity 12.8
2.414 Å, 2θ 37.25, intensity 12.7

Structure and simulated powder X-ray diffraction pattern of Ba3Er2PtAu2O10 (a DFT-relaxed cell (GGA-PBE, OQMD); Cu Kα (λ = 1.5418 Å)).
Neutral-atom scattering factors, no anomalous dispersion.

abc: 7.0391 7.0391 7.7563
angles: 107.29 107.29 49.09
Element x y z (fractional)
Ba1 0.0000 0.0000 0.0000
Ba2 0.1570 0.1570 0.5503
Ba3 0.8430 0.8430 0.4497
Er1 0.3126 0.3126 0.1279
Er2 0.6874 0.6874 0.8721
Pt1 0.5000 0.5000 0.5000
Au1 0.4174 0.4174 0.8125
Au2 0.5826 0.5826 0.1875
O1 0.0761 0.5485 0.8892
O2 0.2431 0.7058 0.2910
O3 0.2942 0.7569 0.7090
O4 0.3309 0.3309 0.4366
O5 0.4515 0.9239 0.1108
O6 0.5485 0.0761 0.8892
O7 0.6691 0.6691 0.5634
O8 0.7058 0.2431 0.2910
O9 0.7569 0.2942 0.7090
O10 0.9239 0.4515 0.1108

Top 12 peaks for 2θ from 5° to 70°, by intensity:
2.759 Å, 2θ 32.45, intensity 100.0
2.924 Å, 2θ 30.57, intensity 56.8
5.266 Å, 2θ 16.84, intensity 53.6
3.231 Å, 2θ 27.60, intensity 32.5
2.876 Å, 2θ 31.10, intensity 28.5
2.348 Å, 2θ 38.34, intensity 25.4
1.655 Å, 2θ 55.54, intensity 21.7
2.034 Å, 2θ 44.55, intensity 19.5
2.155 Å, 2θ 41.92, intensity 19.3
3.188 Å, 2θ 27.98, intensity 16.6
2.444 Å, 2θ 36.78, intensity 16.1
2.232 Å, 2θ 40.41, intensity 15.9

Structure and simulated powder X-ray diffraction pattern of YHoSbCl2 (a DFT-relaxed cell (GGA-PBE, OQMD); Cu Kα (λ = 1.5418 Å)).
Neutral-atom scattering factors, no anomalous dispersion.

abc: 4.1530 4.1530 10.5113
angles: 90.00 90.00 120.00
Element x y z (fractional)
Y1 0.0000 0.0000 0.0000
Ho1 0.3333 0.6667 0.3376
Sb1 0.6667 0.3333 0.1701
Cl1 0.0000 0.0000 0.4826
Cl2 0.3333 0.6667 0.8528

Top 12 peaks for 2θ from 5° to 70°, by intensity:
10.511 Å, 2θ 8.41, intensity 100.0
2.968 Å, 2θ 30.11, intensity 66.9
2.122 Å, 2θ 42.61, intensity 25.3
2.076 Å, 2θ 43.59, intensity 23.3
3.403 Å, 2θ 26.19, intensity 23.3
2.510 Å, 2θ 35.78, intensity 20.7
1.701 Å, 2θ 53.88, intensity 12.4
2.037 Å, 2θ 44.47, intensity 11.6
1.484 Å, 2θ 62.59, intensity 7.9
1.600 Å, 2θ 57.61, intensity 5.3
1.815 Å, 2θ 50.27, intensity 5.2
1.752 Å, 2θ 52.21, intensity 4.2

Structure and simulated powder X-ray diffraction pattern of ZrZn2Cu (a DFT-relaxed cell (GGA-PBE, OQMD); Cu Kα (λ = 1.5418 Å)).
Neutral-atom scattering factors, no anomalous dispersion.

abc: 4.4258 4.4258 4.4258
angles: 60.00 60.00 60.00
Element x y z (fractional)
Zr1 0.0000 0.0000 0.0000
Zn1 0.5000 0.5000 0.5000
Zn2 0.7500 0.7500 0.7500
Cu1 0.2500 0.2500 0.2500

Top 5 peaks for 2θ from 5° to 70°, by intensity:
2.213 Å, 2θ 40.78, intensity 100.0
1.565 Å, 2θ 59.03, intensity 15.9
3.614 Å, 2θ 24.64, intensity 1.4
3.130 Å, 2θ 28.52, intensity 0.8
1.887 Å, 2θ 48.22, intensity 0.6

Structure and simulated powder X-ray diffraction pattern of KAg3OsS4 (a DFT-relaxed cell (GGA-PBE, OQMD); Cu Kα (λ = 1.5418 Å)).
Neutral-atom scattering factors, no anomalous dispersion.

abc: 6.2740 6.2740 6.2740
angles: 90.00 90.00 90.00
Element x y z (fractional)
K1 0.0000 0.0000 0.0000
Ag1 0.0000 0.5000 0.5000
Ag2 0.5000 0.0000 0.5000
Ag3 0.5000 0.5000 0.0000
Os1 0.5000 0.5000 0.5000
S1 0.2900 0.2900 0.2900
S2 0.2900 0.7100 0.7100
S3 0.7100 0.2900 0.7100
S4 0.7100 0.7100 0.2900

Top 12 peaks for 2θ from 5° to 70°, by intensity:
6.274 Å, 2θ 14.12, intensity 100.0
2.218 Å, 2θ 40.67, intensity 75.5
3.137 Å, 2θ 28.45, intensity 45.2
2.806 Å, 2θ 31.89, intensity 35.1
2.091 Å, 2θ 43.26, intensity 25.8
3.622 Å, 2θ 24.58, intensity 23.7
1.403 Å, 2θ 66.67, intensity 19.4
1.740 Å, 2θ 52.59, intensity 18.3
4.436 Å, 2θ 20.01, intensity 16.2
1.811 Å, 2θ 50.38, intensity 13.9
1.522 Å, 2θ 60.88, intensity 12.2
1.569 Å, 2θ 58.88, intensity 11.1

Structure and simulated powder X-ray diffraction pattern of PrErCu2P4 (a DFT-relaxed cell (GGA-PBE, OQMD); Cu Kα (λ = 1.5418 Å)).
Neutral-atom scattering factors, no anomalous dispersion.

abc: 3.7554 3.7554 9.8784
angles: 90.00 90.00 90.00
Element x y z (fractional)
Pr1 0.0000 0.0000 0.0000
Er1 0.5000 0.5000 0.5355
Cu1 0.0000 0.5000 0.2769
Cu2 0.5000 0.0000 0.2769
P1 0.0000 0.0000 0.4291
P2 0.0000 0.5000 0.7590
P3 0.5000 0.0000 0.7590
P4 0.5000 0.5000 0.1275

Top 12 peaks for 2θ from 5° to 70°, by intensity:
2.339 Å, 2θ 38.49, intensity 100.0
3.510 Å, 2θ 25.37, intensity 71.4
2.474 Å, 2θ 36.31, intensity 61.6
1.495 Å, 2θ 62.06, intensity 33.6
1.878 Å, 2θ 48.48, intensity 30.5
9.878 Å, 2θ 8.95, intensity 20.6
1.656 Å, 2θ 55.50, intensity 17.4
1.748 Å, 2θ 52.32, intensity 15.6
2.989 Å, 2θ 29.89, intensity 12.1
1.399 Å, 2θ 66.86, intensity 10.4
2.064 Å, 2θ 43.86, intensity 8.7
4.939 Å, 2θ 17.96, intensity 8.4

Structure and simulated powder X-ray diffraction pattern of Tm2Se2BrCl (a DFT-relaxed cell (GGA-PBE, OQMD); Cu Kα (λ = 1.5418 Å)).
Neutral-atom scattering factors, no anomalous dispersion.

abc: 4.0169 5.5919 8.6358
angles: 90.00 90.00 90.00
Element x y z (fractional)
Tm1 0.0000 0.0000 0.0000
Tm2 0.5000 0.5000 0.2666
Se1 0.0000 0.5000 0.0332
Se2 0.5000 0.0000 0.2317
Br1 0.5000 0.0000 0.7768
Cl1 0.0000 0.5000 0.4645

Top 12 peaks for 2θ from 5° to 70°, by intensity:
8.636 Å, 2θ 10.24, intensity 100.0
2.941 Å, 2θ 30.39, intensity 70.6
2.026 Å, 2θ 44.72, intensity 48.2
4.694 Å, 2θ 18.91, intensity 41.5
2.796 Å, 2θ 32.01, intensity 32.6
2.159 Å, 2θ 41.85, intensity 30.9
3.642 Å, 2θ 24.44, intensity 20.9
2.008 Å, 2θ 45.16, intensity 15.5
1.631 Å, 2θ 56.41, intensity 12.8
2.660 Å, 2θ 33.69, intensity 12.5
3.052 Å, 2θ 29.26, intensity 12.2
1.709 Å, 2θ 53.63, intensity 12.1

Structure and simulated powder X-ray diffraction pattern of In10NiSe10 (a DFT-relaxed cell (GGA-PBE, OQMD); Cu Kα (λ = 1.5418 Å)).
Neutral-atom scattering factors, no anomalous dispersion.

abc: 11.9125 12.5435 7.7089
angles: 90.00 90.00 90.00
Element x y z (fractional)
In1 0.0000 0.0000 0.2397
In2 0.0000 0.0000 0.7603
In3 0.1153 0.4130 0.2590
In4 0.1153 0.4130 0.7410
In5 0.1497 0.7226 0.0000
In6 0.1550 0.6442 0.5000
In7 0.3450 0.1442 0.5000
In8 0.3503 0.2226 0.0000
In9 0.3847 0.9130 0.2590
In10 0.3847 0.9130 0.7410
In11 0.5000 0.5000 0.2397
In12 0.5000 0.5000 0.7603
In13 0.6153 0.0870 0.2590
In14 0.6153 0.0870 0.7410
In15 0.6497 0.7774 0.0000
In16 0.6550 0.8558 0.5000
In17 0.8450 0.3558 0.5000
In18 0.8503 0.2774 0.0000
In19 0.8847 0.5870 0.2590
In20 0.8847 0.5870 0.7410
Ni1 0.0000 0.5000 0.5000
Ni2 0.5000 0.0000 0.5000
Se1 0.0716 0.2725 0.0000
Se2 0.1153 0.1151 0.5000
Se3 0.1705 0.8258 0.2878
Se4 0.1705 0.8258 0.7122
Se5 0.2240 0.5308 0.0000
Se6 0.2760 0.0308 0.0000
Se7 0.3295 0.3258 0.2878
Se8 0.3295 0.3258 0.7122
Se9 0.3847 0.6151 0.5000
Se10 0.4284 0.7725 0.0000
Se11 0.5716 0.2275 0.0000
Se12 0.6153 0.3849 0.5000
Se13 0.6705 0.6742 0.2878
Se14 0.6705 0.6742 0.7122
Se15 0.7240 0.9692 0.0000
Se16 0.7760 0.4692 0.0000
Se17 0.8295 0.1742 0.2878
Se18 0.8295 0.1742 0.7122
Se19 0.8847 0.8849 0.5000
Se20 0.9284 0.7275 0.0000

Top 12 peaks for 2θ from 5° to 70°, by intensity:
3.166 Å, 2θ 28.19, intensity 100.0
2.901 Å, 2θ 30.82, intensity 62.8
1.928 Å, 2θ 47.15, intensity 44.9
2.071 Å, 2θ 43.71, intensity 42.6
2.307 Å, 2θ 39.04, intensity 35.5
2.001 Å, 2θ 45.33, intensity 32.6
3.422 Å, 2θ 26.04, intensity 28.3
2.876 Å, 2θ 31.09, intensity 22.3
3.786 Å, 2θ 23.50, intensity 18.9
1.988 Å, 2θ 45.63, intensity 17.3
3.284 Å, 2θ 27.15, intensity 16.4
2.159 Å, 2θ 41.83, intensity 14.9

Structure and simulated powder X-ray diffraction pattern of Lu4Cd2CN (a DFT-relaxed cell (GGA-PBE, OQMD); Cu Kα (λ = 1.5418 Å)).
Neutral-atom scattering factors, no anomalous dispersion.

abc: 3.4400 3.4400 15.7633
angles: 90.00 90.00 120.00
Element x y z (fractional)
Lu1 0.3333 0.6667 0.0836
Lu2 0.3333 0.6667 0.4168
Lu3 0.6667 0.3333 0.5832
Lu4 0.6667 0.3333 0.9164
Cd1 0.3333 0.6667 0.7464
Cd2 0.6667 0.3333 0.2536
C1 0.0000 0.0000 0.0000
N1 0.0000 0.0000 0.5000

Top 12 peaks for 2θ from 5° to 70°, by intensity:
2.592 Å, 2θ 34.61, intensity 100.0
2.627 Å, 2θ 34.13, intensity 21.8
2.979 Å, 2θ 29.99, intensity 21.7
1.439 Å, 2θ 64.79, intensity 20.6
1.720 Å, 2θ 53.26, intensity 20.3
1.510 Å, 2θ 61.41, intensity 18.8
1.970 Å, 2θ 46.06, intensity 16.5
1.433 Å, 2θ 65.09, intensity 15.9
7.882 Å, 2θ 11.23, intensity 7.6
1.490 Å, 2θ 62.34, intensity 2.8
2.927 Å, 2θ 30.54, intensity 2.2
2.165 Å, 2θ 41.71, intensity 1.0

Structure and simulated powder X-ray diffraction pattern of Sc4CuPC2 (a DFT-relaxed cell (GGA-PBE, OQMD); Cu Kα (λ = 1.5418 Å)).
Neutral-atom scattering factors, no anomalous dispersion.

abc: 3.4125 3.4125 12.6255
angles: 90.00 90.00 120.00
Element x y z (fractional)
Sc1 0.0000 0.0000 0.1425
Sc2 0.0000 0.0000 0.8575
Sc3 0.6667 0.3333 0.3359
Sc4 0.6667 0.3333 0.6641
Cu1 0.0000 0.0000 0.5000
P1 0.6667 0.3333 0.0000
C1 0.3333 0.6667 0.2485
C2 0.3333 0.6667 0.7515

Top 12 peaks for 2θ from 5° to 70°, by intensity:
2.419 Å, 2θ 37.17, intensity 100.0
1.706 Å, 2θ 53.72, intensity 25.3
2.955 Å, 2θ 30.24, intensity 24.4
1.394 Å, 2θ 67.14, intensity 15.2
1.714 Å, 2θ 53.45, intensity 11.5
2.677 Å, 2θ 33.48, intensity 11.1
2.104 Å, 2θ 42.98, intensity 9.9
12.626 Å, 2θ 7.00, intensity 7.5
1.920 Å, 2θ 47.35, intensity 6.7
1.392 Å, 2θ 67.25, intensity 4.0
2.525 Å, 2θ 35.55, intensity 3.3
1.478 Å, 2θ 62.89, intensity 2.8

Structure and simulated powder X-ray diffraction pattern of Rb2OsO5 (a DFT-relaxed cell (GGA-PBE, OQMD); Cu Kα (λ = 1.5418 Å)).
Neutral-atom scattering factors, no anomalous dispersion.

abc: 6.2011 6.2011 3.8421
angles: 90.00 90.00 90.00
Element x y z (fractional)
Rb1 0.0000 0.5000 0.0000
Rb2 0.5000 0.0000 0.0000
Os1 0.0000 0.0000 0.5000
O1 0.0000 0.0000 0.0000
O2 0.2098 0.2098 0.5000
O3 0.2098 0.7902 0.5000
O4 0.7902 0.2098 0.5000
O5 0.7902 0.7902 0.5000

Top 12 peaks for 2θ from 5° to 70°, by intensity:
6.201 Å, 2θ 14.28, intensity 100.0
2.890 Å, 2θ 30.95, intensity 77.1
3.101 Å, 2θ 28.79, intensity 38.6
1.747 Å, 2θ 52.38, intensity 32.7
3.266 Å, 2θ 27.31, intensity 30.4
2.192 Å, 2θ 41.17, intensity 26.4
2.773 Å, 2θ 32.28, intensity 20.3
2.249 Å, 2θ 40.10, intensity 15.6
1.445 Å, 2θ 64.49, intensity 13.2
1.633 Å, 2θ 56.34, intensity 12.4
1.921 Å, 2θ 47.32, intensity 9.3
1.366 Å, 2θ 68.71, intensity 8.9

What did the fifth record say?
Structure and simulated powder X-ray diffraction pattern of KAg3OsS4 (a DFT-relaxed cell (GGA-PBE, OQMD); Cu Kα (λ = 1.5418 Å)).
Neutral-atom scattering factors, no anomalous dispersion.

abc: 6.2740 6.2740 6.2740
angles: 90.00 90.00 90.00
Element x y z (fractional)
K1 0.0000 0.0000 0.0000
Ag1 0.0000 0.5000 0.5000
Ag2 0.5000 0.0000 0.5000
Ag3 0.5000 0.5000 0.0000
Os1 0.5000 0.5000 0.5000
S1 0.2900 0.2900 0.2900
S2 0.2900 0.7100 0.7100
S3 0.7100 0.2900 0.7100
S4 0.7100 0.7100 0.2900

Top 12 peaks for 2θ from 5° to 70°, by intensity:
6.274 Å, 2θ 14.12, intensity 100.0
2.218 Å, 2θ 40.67, intensity 75.5
3.137 Å, 2θ 28.45, intensity 45.2
2.806 Å, 2θ 31.89, intensity 35.1
2.091 Å, 2θ 43.26, intensity 25.8
3.622 Å, 2θ 24.58, intensity 23.7
1.403 Å, 2θ 66.67, intensity 19.4
1.740 Å, 2θ 52.59, intensity 18.3
4.436 Å, 2θ 20.01, intensity 16.2
1.811 Å, 2θ 50.38, intensity 13.9
1.522 Å, 2θ 60.88, intensity 12.2
1.569 Å, 2θ 58.88, intensity 11.1